Record 1
Theoretical powder diffraction line list
Compound: TbPr5Ho12
Radiation: Cu Ka
Structure: a cell relaxed with GGA-PBE
Neutral-atom scattering factors, no anomalous dispersion.

Principal peaks in the range 5 to 70 degrees two-theta, sorted by position:
- 2θ = 30.0°, rel. 24.1
- 2θ = 31.0°, rel. 29.9
- 2θ = 31.9°, rel. 100.0
- 2θ = 34.8°, rel. 15.2
- 2θ = 43.6°, rel. 17.1
- 2θ = 47.8°, rel. 7.9
- 2θ = 54.5°, rel. 11.5
- 2θ = 55.7°, rel. 20.2
- 2θ = 58.0°, rel. 8.8
- 2θ = 66.7°, rel. 8.6

Cell and atoms:
Cell: 10.378 10.378 5.957 Å, 90.00 90.00 113.25°
Element x y z (fractional)
Tb  0.000  0.000  0.000
Pr  0.159  0.841  0.500
Pr  0.340  0.660  0.000
Pr  0.500  0.500  0.500
Pr  0.660  0.340  0.000
Pr  0.841  0.159  0.500
Ho  0.007  0.342  0.954
Ho  0.157  0.493  0.454
Ho  0.182  0.182  0.564
Ho  0.314  0.314  0.063
Ho  0.342  0.007  0.954
Ho  0.493  0.157  0.454
Ho  0.507  0.843  0.546
Ho  0.658  0.993  0.046
Ho  0.686  0.686  0.937
Ho  0.818  0.818  0.436
Ho  0.843  0.507  0.546
Ho  0.993  0.658  0.046

Record 2
Theoretical powder diffraction line list
Compound: KPa2Ag2O7
Radiation: Cu Ka
Structure: a cell relaxed with GGA-PBE
Neutral-atom scattering factors, no anomalous dispersion.

Principal peaks in the range 5 to 70 degrees two-theta, sorted by position:
- 2θ = 20.5°, rel. 65.0
- 2θ = 21.0°, rel. 90.6
- 2θ = 24.4°, rel. 52.8
- 2θ = 29.6°, rel. 100.0
- 2θ = 30.2°, rel. 60.0
- 2θ = 33.8°, rel. 83.5
- 2θ = 40.6°, rel. 42.5
- 2θ = 41.9°, rel. 38.9
- 2θ = 45.0°, rel. 40.9
- 2θ = 52.1°, rel. 42.7

Cell and atoms:
Cell: 10.714 10.714 10.714 Å, 156.76 156.07 33.60°
Element x y z (fractional)
K  0.000  0.000  0.000
Pa  0.394  0.394  0.000
Pa  0.606  0.606  0.000
Ag  0.226  0.726  0.500
Ag  0.774  0.274  0.500
O  0.105  0.605  0.500
O  0.283  0.283  0.000
O  0.399  0.899  0.500
O  0.500  0.500  0.000
O  0.601  0.101  0.500
O  0.717  0.717  0.000
O  0.895  0.395  0.500

Record 3
Theoretical powder diffraction line list
Compound: Na3Si2Ge3
Radiation: Cu Ka
Structure: a cell relaxed with GGA-PBE
Neutral-atom scattering factors, no anomalous dispersion.

Principal peaks in the range 5 to 70 degrees two-theta, sorted by position:
- 2θ = 19.8°, rel. 97.4
- 2θ = 21.3°, rel. 31.2
- 2θ = 32.0°, rel. 30.4
- 2θ = 33.7°, rel. 100.0
- 2θ = 33.9°, rel. 65.4
- 2θ = 36.4°, rel. 66.9
- 2θ = 39.9°, rel. 34.6
- 2θ = 41.5°, rel. 34.5
- 2θ = 45.7°, rel. 32.7
- 2θ = 63.9°, rel. 20.8

Cell and atoms:
Cell: 5.954 5.954 13.082 Å, 90.00 90.00 130.99°
Element x y z (fractional)
Na  0.002  0.998  0.750
Na  0.149  0.851  0.023
Na  0.149  0.851  0.477
Na  0.851  0.149  0.523
Na  0.851  0.149  0.977
Na  0.998  0.002  0.250
Si  0.302  0.698  0.662
Si  0.302  0.698  0.838
Si  0.698  0.302  0.162
Si  0.698  0.302  0.338
Ge  0.302  0.698  0.250
Ge  0.486  0.514  0.101
Ge  0.486  0.514  0.399
Ge  0.514  0.486  0.601
Ge  0.514  0.486  0.899
Ge  0.698  0.302  0.750

Record 4
Theoretical powder diffraction line list
Compound: Pm5DyTm4
Radiation: Cu Ka
Structure: a cell relaxed with GGA-PBE
Neutral-atom scattering factors, no anomalous dispersion.

Principal peaks in the range 5 to 70 degrees two-theta, sorted by position:
- 2θ = 29.9°, rel. 27.7
- 2θ = 30.2°, rel. 28.0
- 2θ = 31.3°, rel. 68.5
- 2θ = 31.7°, rel. 100.0
- 2θ = 31.8°, rel. 46.1
- 2θ = 32.1°, rel. 62.6
- 2θ = 32.8°, rel. 32.6
- 2θ = 37.2°, rel. 19.6
- 2θ = 61.6°, rel. 20.0
- 2θ = 62.1°, rel. 19.0

Cell and atoms:
Cell: 8.682 8.682 11.417 Å, 108.37 108.37 23.54°
Element x y z (fractional)
Pm  0.000  0.000  0.000
Pm  0.289  0.289  0.883
Pm  0.312  0.312  0.424
Pm  0.688  0.688  0.576
Pm  0.711  0.711  0.117
Dy  0.000  0.000  0.500
Tm  0.104  0.104  0.297
Tm  0.418  0.418  0.210
Tm  0.582  0.582  0.790
Tm  0.896  0.896  0.703

Record 5
Theoretical powder diffraction line list
Compound: TbMgB12
Radiation: Cu Ka
Structure: a cell relaxed with GGA-PBE
Neutral-atom scattering factors, no anomalous dispersion.

Principal peaks in the range 5 to 70 degrees two-theta, sorted by position:
- 2θ = 10.7°, rel. 83.4
- 2θ = 21.7°, rel. 42.9
- 2θ = 24.3°, rel. 54.2
- 2θ = 30.8°, rel. 100.0
- 2θ = 32.8°, rel. 25.4
- 2θ = 38.0°, rel. 44.4
- 2θ = 45.6°, rel. 20.6
- 2θ = 49.6°, rel. 16.0
- 2θ = 49.7°, rel. 31.7
- 2θ = 68.6°, rel. 28.1

Cell and atoms:
Cell: 4.100 4.100 8.230 Å, 90.00 90.00 90.00°
Element x y z (fractional)
Tb  0.000  0.000  0.000
Mg  0.000  0.000  0.500
B  0.200  0.500  0.250
B  0.200  0.500  0.750
B  0.500  0.200  0.250
B  0.500  0.200  0.750
B  0.500  0.500  0.099
B  0.500  0.500  0.400
B  0.500  0.500  0.600
B  0.500  0.500  0.901
B  0.500  0.800  0.250
B  0.500  0.800  0.750
B  0.800  0.500  0.250
B  0.800  0.500  0.750

Record 6
Theoretical powder diffraction line list
Compound: K4Pu3BiO12
Radiation: Cu Ka
Structure: a cell relaxed with GGA-PBE
Neutral-atom scattering factors, no anomalous dispersion.

Principal peaks in the range 5 to 70 degrees two-theta, sorted by position:
- 2θ = 14.5°, rel. 0.7
- 2θ = 20.6°, rel. 75.6
- 2θ = 29.3°, rel. 100.0
- 2θ = 36.0°, rel. 11.6
- 2θ = 41.9°, rel. 29.9
- 2θ = 47.1°, rel. 36.6
- 2θ = 51.9°, rel. 41.8
- 2θ = 60.7°, rel. 19.0
- 2θ = 64.8°, rel. 18.1
- 2θ = 68.8°, rel. 18.6

Cell and atoms:
Cell: 7.477 7.477 7.477 Å, 109.47 109.47 109.47°
Element x y z (fractional)
K  0.000  0.000  0.500
K  0.000  0.500  0.000
K  0.500  0.000  0.000
K  0.500  0.500  0.500
Pu  0.000  0.500  0.500
Pu  0.500  0.000  0.500
Pu  0.500  0.500  0.000
Bi  0.000  0.000  0.000
O  0.000  0.269  0.269
O  0.000  0.731  0.731
O  0.250  0.500  0.750
O  0.250  0.750  0.500
O  0.269  0.000  0.269
O  0.269  0.269  0.000
O  0.500  0.250  0.750
O  0.500  0.750  0.250
O  0.731  0.000  0.731
O  0.731  0.731  0.000
O  0.750  0.250  0.500
O  0.750  0.500  0.250